(1)
# EuTlZnSn
Calculated powder X-ray diffraction pattern, Cu Ka. Input: DFT lattice parameters and positions (PBE).

Structure:
abc: 5.312 5.312 5.312
angles: 60.00 60.00 60.00
Sites, in units of the cell vectors:
Eu: 0.000 0.000 0.000
Tl: 0.250 0.250 0.250
Zn: 0.750 0.750 0.750
Sn: 0.500 0.500 0.500

Principal peaks in the range 10 to 80 degrees two-theta, low angle first:
- 20.5°, I 13
- 33.7°, I 100
- 39.8°, I 7
- 48.5°, I 18
- 53.1°, I 3
- 60.4°, I 38
- 64.4°, I 3
- 71.0°, I 12
- 74.8°, I 3

=====

(2)
# EuZn2Sn2
Calculated powder X-ray diffraction pattern, Cu Ka. Input: DFT lattice parameters and positions (PBE).

Structure:
abc: 4.689 4.547 11.342
angles: 90.00 90.96 90.00
Sites, in units of the cell vectors:
Eu: 0.225 0.250 0.247
Eu: 0.775 0.750 0.753
Zn: 0.198 0.750 0.002
Zn: 0.249 0.250 0.640
Zn: 0.751 0.750 0.360
Zn: 0.802 0.250 0.998
Sn: 0.254 0.750 0.497
Sn: 0.301 0.250 0.870
Sn: 0.699 0.750 0.130
Sn: 0.746 0.250 0.503

Principal peaks in the range 10 to 80 degrees two-theta, low angle first:
- 27.3°, I 18
- 30.6°, I 29
- 30.8°, I 46
- 31.5°, I 100
- 31.8°, I 59
- 38.4°, I 41
- 39.6°, I 46
- 44.7°, I 29
- 56.4°, I 27
- 79.7°, I 19

=====

(3)
# SrEu
Calculated powder X-ray diffraction pattern, Cu Ka. Input: DFT lattice parameters and positions (PBE).

Structure:
abc: 4.084 4.084 6.781
angles: 90.00 90.00 120.00
Sites, in units of the cell vectors:
Sr: 0.000 0.000 0.000
Eu: 0.333 0.667 0.500

Principal peaks in the range 10 to 80 degrees two-theta, low angle first:
- 25.2°, I 27
- 26.3°, I 27
- 28.5°, I 100
- 36.7°, I 20
- 44.4°, I 19
- 47.8°, I 24
- 52.3°, I 24
- 53.5°, I 17
- 72.0°, I 14
- 72.5°, I 9